The following is a computed powder X-ray diffraction pattern of Li2Sc2Tl2CuPt. It was derived from DFT lattice parameters and positions (PBE), using Cu Kα, 1.54184 Å.
Kinematic intensities with the Lorentz-polarization factor, no thermal factor.

Cell and atoms:
```
data_Li2Sc2Tl2CuPt
_cell_length_a 4.616
_cell_length_b 4.616
_cell_length_c 6.560
_cell_angle_alpha 90.00
_cell_angle_beta 90.00
_cell_angle_gamma 90.00
_space_group_name_H-M_alt 'P -4 m 2'
_space_group_IT_number 115
_space_group_name_Hall 'P -4 -2'
loop_
_atom_site_label
_atom_site_type_symbol
_atom_site_fract_x
_atom_site_fract_y
_atom_site_fract_z
Li1 Li 0.000 0.000 0.000
Li2 Li 0.500 0.500 0.500
Sc1 Sc 0.000 0.500 0.742
Tl1 Tl 0.000 0.500 0.235
Cu1 Cu 0.500 0.500 0.000
Pt1 Pt 0.000 0.000 0.500
```

Principal peaks in the range 2θ from 5° to 70°, sorted by position:
2θ 19.23, intensity 5, (1 0 0)
2θ 23.57, intensity 66, (1 0 1)
2θ 27.32, intensity 7, (1 1 0)
2θ 30.59, intensity 5, (1 1 1)
2θ 33.51, intensity 4, (1 0 2)
2θ 38.96, intensity 100, (2 0 0)
2θ 45.92, intensity 11, (1 0 3)
2θ 46.09, intensity 23, (2 1 1)
2θ 56.08, intensity 5, (0 0 4)
2θ 56.38, intensity 11, (2 2 0)
2θ 61.80, intensity 9, (2 1 3)
2θ 61.94, intensity 5, (3 0 1)